1.
Diffraction record for KZrSe2. The XRD peak list is theoretical, not measured: it uses a crystal structure in OQMD, relaxed with PBE and CuKα.
No peak broadening, texture or thermal motion is included.

```
data_KZrSe2
_chemical_formula_sum 'K4 Zr4 Se8'
_cell_length_a 8.0931
_cell_length_b 12.0342
_cell_length_c 6.2457
_cell_angle_alpha 90.00
_cell_angle_beta 116.05
_cell_angle_gamma 90.00
_space_group_name_H-M_alt 'C 1 2/c 1'
_space_group_IT_number 15
loop_
_space_group_symop_operation_xyz
'x,y,z'
'-x,-y,-z'
'-x,y,-z+1/2'
'x,-y,z+1/2'
'x+1/2,y+1/2,z'
'-x+1/2,-y+1/2,-z'
'-x+1/2,y+1/2,-z+1/2'
'x+1/2,-y+1/2,z+1/2'
loop_
_atom_site_label
_atom_site_fract_x
_atom_site_fract_y
_atom_site_fract_z
K1 0.0000 0.1441 0.2500
Zr1 0.0000 0.4932 0.7500
Se1 0.2172 0.3846 0.1372
```

Main lines, by angle (5° ≤ 2θ ≤ 70°):
- 14.2 deg, intensity 98, (1 1 0)
- 14.7 deg, intensity 56, (0 2 0)
- 25.0 deg, intensity 39, (1 1 1)
- 25.4 deg, intensity 37, (1 3 0)
- 27.0 deg, intensity 100, (2 2 -1)
- 36.5 deg, intensity 51, (1 3 -2)
- 37.6 deg, intensity 25, (3 1 -2)
- 38.9 deg, intensity 37, (2 4 0)
- 39.9 deg, intensity 31, (1 1 2)
- 47.7 deg, intensity 34, (1 5 -2)


2.
Diffraction record for Sc4Zn3Mo2N3. The XRD peak list is theoretical, not measured: it uses a crystal structure in OQMD, relaxed with PBE and CuKα.
No peak broadening, texture or thermal motion is included.

```
data_Sc4Zn3Mo2N3
_chemical_formula_sum 'Sc16 Zn12 Mo8 N12'
_cell_length_a 9.4980
_cell_length_b 5.5274
_cell_length_c 13.7282
_cell_angle_alpha 90.00
_cell_angle_beta 103.48
_cell_angle_gamma 90.00
_space_group_name_H-M_alt 'C 1 2/c 1'
_space_group_IT_number 15
loop_
_space_group_symop_operation_xyz
'x,y,z'
'-x,-y,-z'
'-x,y,-z+1/2'
'x,-y,z+1/2'
'x+1/2,y+1/2,z'
'-x+1/2,-y+1/2,-z'
'-x+1/2,y+1/2,-z+1/2'
'x+1/2,-y+1/2,z+1/2'
loop_
_atom_site_label
_atom_site_fract_x
_atom_site_fract_y
_atom_site_fract_z
Sc1 0.1150 0.0799 0.0957
Sc2 0.2166 0.0870 0.4041
Zn1 0.0000 0.1476 0.7500
Zn2 0.1344 0.4477 0.2496
Mo1 0.0603 0.4167 0.9289
N1 0.0865 0.2402 0.5000
N2 0.2500 0.2500 0.0000
```

Main lines, by angle (5° ≤ 2θ ≤ 70°):
- 18.7 deg, intensity 23, (1 1 0)
- 19.2 deg, intensity 10, (2 0 0)
- 32.4 deg, intensity 11, (0 2 0)
- 32.6 deg, intensity 21, (3 1 -1)
- 38.3 deg, intensity 51, (0 2 3)
- 38.5 deg, intensity 100, (3 1 -4)
- 40.5 deg, intensity 25, (0 0 6)
- 52.9 deg, intensity 15, (3 1 -7)
- 57.9 deg, intensity 18, (3 3 -1)
- 58.3 deg, intensity 9, (6 0 -2)


3.
Diffraction record for Pt15Pb. The XRD peak list is theoretical, not measured: it uses a crystal structure in OQMD, relaxed with PBE and CuKα.
No peak broadening, texture or thermal motion is included.

```
data_Pt15Pb
_chemical_formula_sum 'Pt30 Pb2'
_cell_length_a 4.8251
_cell_length_b 36.5081
_cell_length_c 4.8253
_cell_angle_alpha 90.00
_cell_angle_beta 109.66
_cell_angle_gamma 90.00
_space_group_name_H-M_alt 'P 1 2/c 1'
_space_group_IT_number 13
loop_
_space_group_symop_operation_xyz
'x,y,z'
'-x,-y,-z'
'-x,y,-z+1/2'
'x,-y,z+1/2'
loop_
_atom_site_label
_atom_site_fract_x
_atom_site_fract_y
_atom_site_fract_z
Pt1 0.0000 0.0192 0.2500
Pt2 0.0000 0.0578 0.7500
Pt3 0.0000 0.0962 0.2500
Pt4 0.0000 0.1348 0.7500
Pt5 0.0000 0.1736 0.2500
Pt6 0.0000 0.2122 0.7500
Pt7 0.0000 0.2531 0.2500
Pt8 0.0000 0.2867 0.7500
Pt9 0.5000 0.0192 0.7500
Pt10 0.5000 0.0577 0.2500
Pt11 0.5000 0.0962 0.7500
Pt12 0.5000 0.1348 0.2500
Pt13 0.5000 0.1736 0.7500
Pt14 0.5000 0.2125 0.2500
Pt15 0.5000 0.2531 0.7500
Pb1 0.5000 0.3036 0.2500
```

Main lines, by angle (5° ≤ 2θ ≤ 70°):
- 9.7 deg, intensity 13, (0 4 0)
- 37.3 deg, intensity 28, (1 12 -1)
- 39.4 deg, intensity 65, (1 13 -1)
- 39.7 deg, intensity 100, (2 0 0)
- 44.1 deg, intensity 18, (1 12 1)
- 46.0 deg, intensity 64, (2 0 -2)
- 46.1 deg, intensity 10, (2 1 -2)
- 65.7 deg, intensity 11, (3 12 -1)
- 67.1 deg, intensity 27, (3 13 -1)
- 67.4 deg, intensity 11, (2 0 2)


4.
Diffraction record for TlCuReS3. The XRD peak list is theoretical, not measured: it uses a crystal structure in OQMD, relaxed with PBE and CuKα.
No peak broadening, texture or thermal motion is included.

```
data_TlCuReS3
_chemical_formula_sum 'Tl4 Cu4 Re4 S12'
_cell_length_a 3.3487
_cell_length_b 14.8421
_cell_length_c 9.2873
_cell_angle_alpha 90.00
_cell_angle_beta 90.00
_cell_angle_gamma 90.00
_space_group_name_H-M_alt 'C m c m'
_space_group_IT_number 63
_space_group_name_Hall '-C 2c 2'
loop_
_atom_site_label
_atom_site_fract_x
_atom_site_fract_y
_atom_site_fract_z
Tl1 0.0000 0.2431 0.2500
Cu1 0.0000 0.0449 0.7500
Re1 0.0000 0.5000 0.0000
S1 0.0000 0.1170 0.5378
S2 0.0000 0.4376 0.7500
```

Main lines, by angle (5° ≤ 2θ ≤ 70°):
- 22.6 deg, intensity 100, (0 2 2)
- 24.0 deg, intensity 54, (0 4 0)
- 29.0 deg, intensity 28, (1 1 1)
- 33.5 deg, intensity 27, (1 1 2)
- 33.7 deg, intensity 68, (1 3 1)
- 37.8 deg, intensity 31, (1 3 2)
- 38.8 deg, intensity 37, (0 0 4)
- 41.4 deg, intensity 35, (0 6 2)
- 45.3 deg, intensity 31, (1 5 2)
- 46.1 deg, intensity 23, (0 4 4)


5.
Diffraction record for TbIn3C3. The XRD peak list is theoretical, not measured: it uses a crystal structure in OQMD, relaxed with PBE and CuKα.
No peak broadening, texture or thermal motion is included.

```
data_TbIn3C3
_chemical_formula_sum 'Tb2 In6 C6'
_cell_length_a 3.7451
_cell_length_b 3.7451
_cell_length_c 19.1110
_cell_angle_alpha 90.00
_cell_angle_beta 90.00
_cell_angle_gamma 120.00
_space_group_name_H-M_alt 'P 63/m m c'
_space_group_IT_number 194
_space_group_name_Hall '-P 6c 2c'
loop_
_atom_site_label
_atom_site_fract_x
_atom_site_fract_y
_atom_site_fract_z
Tb1 0.0000 0.0000 0.0000
In1 0.3333 0.6667 0.1242
In2 0.3333 0.6667 0.7500
C1 0.3333 0.6667 0.2500
C2 0.3333 0.6667 0.5765
```

Main lines, by angle (5° ≤ 2θ ≤ 70°):
- 29.1 deg, intensity 100, (1 0 2)
- 30.9 deg, intensity 89, (1 0 3)
- 33.4 deg, intensity 70, (1 0 4)
- 36.3 deg, intensity 72, (1 0 5)
- 37.7 deg, intensity 46, (0 0 8)
- 39.7 deg, intensity 52, (1 0 6)
- 48.6 deg, intensity 75, (1 1 0)
- 55.8 deg, intensity 16, (1 0 10)
- 60.4 deg, intensity 17, (1 0 11)
- 63.1 deg, intensity 59, (1 1 8)


6.
Diffraction record for Pr3Si2Cl3O7. The XRD peak list is theoretical, not measured: it uses a crystal structure in OQMD, relaxed with PBE and CuKα.
No peak broadening, texture or thermal motion is included.

```
data_Pr3Si2Cl3O7
_chemical_formula_sum 'Pr6 Si4 Cl6 O14'
_cell_length_a 5.3137
_cell_length_b 12.0855
_cell_length_c 7.8474
_cell_angle_alpha 90.00
_cell_angle_beta 108.86
_cell_angle_gamma 90.00
_space_group_name_H-M_alt 'P 1 21 1'
_space_group_IT_number 4
loop_
_space_group_symop_operation_xyz
'x,y,z'
'-x,y+1/2,-z'
loop_
_atom_site_label
_atom_site_fract_x
_atom_site_fract_y
_atom_site_fract_z
Pr1 0.0287 0.0000 0.4185
Pr2 0.2932 0.0183 0.9699
Pr3 0.4428 0.7418 0.2970
Si1 0.2127 0.3330 0.9354
Si2 0.3887 0.4452 0.3183
Cl1 0.0115 0.2425 0.4881
Cl2 0.1558 0.6191 0.9415
Cl3 0.4585 0.1158 0.3335
O1 0.0902 0.4838 0.3074
O2 0.0978 0.8717 0.1211
O3 0.2688 0.2057 0.8992
O4 0.3505 0.4026 0.8063
O5 0.3886 0.3713 0.1406
O6 0.4165 0.0490 0.6959
O7 0.4387 0.8844 0.4974
```

Main lines, by angle (5° ≤ 2θ ≤ 70°):
- 14.0 deg, intensity 100, (0 1 1)
- 14.7 deg, intensity 54, (0 2 0)
- 23.0 deg, intensity 55, (1 2 0)
- 23.2 deg, intensity 63, (1 2 -1)
- 25.1 deg, intensity 62, (0 3 1)
- 25.5 deg, intensity 72, (1 1 1)
- 25.9 deg, intensity 80, (1 1 -2)
- 28.2 deg, intensity 58, (0 2 2)
- 33.4 deg, intensity 89, (1 3 -2)
- 33.7 deg, intensity 70, (2 0 -1)


7.
Diffraction record for KAgTePtS2. The XRD peak list is theoretical, not measured: it uses a crystal structure in OQMD, relaxed with PBE and CuKα.
No peak broadening, texture or thermal motion is included.

```
data_KAgTePtS2
_chemical_formula_sum 'K4 Ag4 Te4 Pt4 S8'
_cell_length_a 3.6064
_cell_length_b 16.1836
_cell_length_c 10.8720
_cell_angle_alpha 90.00
_cell_angle_beta 90.00
_cell_angle_gamma 90.00
_space_group_name_H-M_alt 'C m c m'
_space_group_IT_number 63
_space_group_name_Hall '-C 2c 2'
loop_
_atom_site_label
_atom_site_fract_x
_atom_site_fract_y
_atom_site_fract_z
K1 0.0000 0.2326 0.2500
Ag1 0.0000 0.0944 0.7500
Te1 0.0000 0.4472 0.7500
Pt1 0.0000 0.5000 0.0000
S1 0.0000 0.0981 0.5254
```

Main lines, by angle (5° ≤ 2θ ≤ 70°):
- 10.9 deg, intensity 100, (0 2 0)
- 29.8 deg, intensity 20, (1 3 0)
- 30.9 deg, intensity 25, (1 3 1)
- 33.0 deg, intensity 21, (0 0 4)
- 34.8 deg, intensity 13, (0 2 4)
- 37.2 deg, intensity 12, (0 6 2)
- 37.3 deg, intensity 12, (1 5 0)
- 45.0 deg, intensity 12, (1 3 4)
- 50.6 deg, intensity 16, (2 0 0)
- 52.0 deg, intensity 11, (2 2 0)


8.
Diffraction record for TbErH2I4. The XRD peak list is theoretical, not measured: it uses a crystal structure in OQMD, relaxed with PBE and CuKα.
No peak broadening, texture or thermal motion is included.

```
data_TbErH2I4
_chemical_formula_sum 'Tb1 Er1 H2 I4'
_cell_length_a 3.9825
_cell_length_b 3.9825
_cell_length_c 16.5344
_cell_angle_alpha 90.00
_cell_angle_beta 90.00
_cell_angle_gamma 120.00
_space_group_name_H-M_alt 'P -6 m 2'
_space_group_IT_number 187
_space_group_name_Hall 'P -6 2'
loop_
_atom_site_label
_atom_site_fract_x
_atom_site_fract_y
_atom_site_fract_z
Tb1 0.0000 0.0000 0.0000
Er1 0.0000 0.0000 0.5000
H1 0.3333 0.6667 0.0000
H2 0.6667 0.3333 0.5000
I1 0.3333 0.6667 0.3737
I2 0.6667 0.3333 0.1291
```

Main lines, by angle (5° ≤ 2θ ≤ 70°):
- 10.7 deg, intensity 73, (0 0 2)
- 26.4 deg, intensity 53, (1 0 1)
- 28.0 deg, intensity 54, (1 0 2)
- 30.6 deg, intensity 43, (1 0 3)
- 33.8 deg, intensity 100, (1 0 4)
- 37.7 deg, intensity 18, (1 0 5)
- 43.8 deg, intensity 17, (0 0 8)
- 45.6 deg, intensity 45, (1 1 0)
- 57.9 deg, intensity 21, (2 0 4)
- 65.0 deg, intensity 31, (1 1 8)